Entry 1:
This entry pairs a crystal structure of KMgHgTe2 with its simulated powder diffractogram. Radiation: CuKα. Structure: a structure optimized by DFT (PBE).

Peak list (6 most intense, 2θ = 15–90°, most intense first)
two_theta	d_spacing	I (rel.)	hkl
25.13	3.543	100	1 3 1
16.01	5.536	81	0 2 1
28.35	3.148	74	2 0 0
32.34	2.768	70	0 4 2
24.90	3.576	54	0 2 2
38.82	2.320	53	2 4 1

Atomic structure:
```
data_KMgHgTe2
_chemical_formula_sum 'K4 Mg4 Hg4 Te8'
_cell_length_a 6.2957
_cell_length_b 15.1439
_cell_length_c 8.1153
_cell_angle_alpha 90.00
_cell_angle_beta 90.00
_cell_angle_gamma 90.00
_space_group_name_H-M_alt 'C m m e'
_space_group_IT_number 67
_space_group_name_Hall '-C 2a 2'
loop_
_atom_site_label
_atom_site_type_symbol
_atom_site_fract_x
_atom_site_fract_y
_atom_site_fract_z
_atom_site_occupancy
K1 K 0.0000 0.2500 0.1976 1
Mg1 Mg 0.2500 0.0000 0.0000 1
Hg1 Hg 0.0000 0.0000 0.5000 1
Te1 Te 0.0000 0.1158 0.8066 1
```

Entry 2:
This entry pairs a crystal structure of K2MgTl6Hg with its simulated powder diffractogram. Radiation: CuKα. Structure: a structure optimized by DFT (PBE).

Peak list (6 most intense, 2θ = 15–90°, most intense first)
two_theta	d_spacing	I (rel.)	hkl
30.63	2.919	100	0 2 7
17.17	5.166	73	0 1 5
35.13	2.555	60	1 2 2
28.51	3.130	44	2 0 5
44.90	2.019	39	3 0 9
36.30	2.475	37	2 0 11

Atomic structure:
```
data_K2MgTl6Hg
_chemical_formula_sum 'K12 Mg6 Tl36 Hg6'
_cell_length_a 7.8705
_cell_length_b 7.8705
_cell_length_c 39.5864
_cell_angle_alpha 90.00
_cell_angle_beta 90.00
_cell_angle_gamma 120.00
_space_group_name_H-M_alt 'R -3 m'
_space_group_IT_number 166
_space_group_name_Hall '-R 3 2"'
loop_
_atom_site_label
_atom_site_type_symbol
_atom_site_fract_x
_atom_site_fract_y
_atom_site_fract_z
_atom_site_occupancy
K1 K 0.0000 0.0000 0.1036 1
K2 K 0.0000 0.0000 0.2788 1
Mg1 Mg 0.0000 0.0000 0.0000 1
Mg2 Mg 0.0000 0.0000 0.5000 1
Tl1 Tl 0.0595 0.5297 0.3045 1
Tl2 Tl 0.0610 0.5305 0.8631 1
Hg1 Hg 0.0000 0.0000 0.4272 1
```